Entry 1:
For NdScO3, a PBE-relaxed structure gives the simulated X-ray powder pattern in this record (copper Kα).
Neutral-atom scattering factors, no anomalous dispersion.

Cell and atoms:
```
data_NdScO3
_chemical_formula_sum 'Nd4 Sc4 O12'
_space_group_name_H-M_alt 'P 1'
_space_group_IT_number 1
_space_group_name_Hall 'P 1'
_cell_length_a 5.8403
_cell_length_b 8.0841
_cell_length_c 5.6095
_cell_angle_alpha 90.00
_cell_angle_beta 90.00
_cell_angle_gamma 90.00
loop_
_atom_site_label
_atom_site_type_symbol
_atom_site_fract_x
_atom_site_fract_y
_atom_site_fract_z
Nd1 Nd 0.0564 0.2500 0.0155
Nd2 Nd 0.4436 0.7500 0.5155
Nd3 Nd 0.5564 0.2500 0.4845
Nd4 Nd 0.9436 0.7500 0.9845
Sc1 Sc 0.0000 0.0000 0.5000
Sc2 Sc 0.0000 0.5000 0.5000
Sc3 Sc 0.5000 0.0000 0.0000
Sc4 Sc 0.5000 0.5000 0.0000
O1 O 0.0424 0.7500 0.3893
O2 O 0.1988 0.5584 0.8022
O3 O 0.1988 0.9416 0.8022
O4 O 0.3012 0.0584 0.3022
O5 O 0.3012 0.4416 0.3022
O6 O 0.4576 0.2500 0.8893
O7 O 0.5424 0.7500 0.1107
O8 O 0.6988 0.5584 0.6978
O9 O 0.6988 0.9416 0.6978
O10 O 0.8012 0.0584 0.1978
O11 O 0.8012 0.4416 0.1978
O12 O 0.9576 0.2500 0.6107
```

Main lines, in order of falling intensity (10° ≤ 2θ ≤ 90°):
2theta	I (rel.)
31.28	100.0
21.98	45.3
44.82	34.9
56.47	23.2
31.91	23.2
30.62	19.7


Entry 2:
For SrNdScO4, a PBE-relaxed structure gives the simulated X-ray powder pattern in this record (copper Kα).
Neutral-atom scattering factors, no anomalous dispersion.

Cell and atoms:
```
data_SrNdScO4
_chemical_formula_sum 'Sr2 Nd2 Sc2 O8'
_space_group_name_H-M_alt 'P 1'
_space_group_IT_number 1
_space_group_name_Hall 'P 1'
_cell_length_a 6.8072
_cell_length_b 6.8072
_cell_length_c 5.8769
_cell_angle_alpha 90.00
_cell_angle_beta 90.00
_cell_angle_gamma 130.37
loop_
_atom_site_label
_atom_site_type_symbol
_atom_site_fract_x
_atom_site_fract_y
_atom_site_fract_z
Sr1 Sr 0.1044 0.8956 0.5000
Sr2 Sr 0.8956 0.1044 0.0000
Nd1 Nd 0.3917 0.6083 0.5276
Nd2 Nd 0.6083 0.3917 0.0276
Sc1 Sc 0.2463 0.7537 0.0182
Sc2 Sc 0.7537 0.2463 0.5182
O1 O 0.0300 0.4831 0.2741
O2 O 0.0835 0.9165 0.0789
O3 O 0.4309 0.5691 0.9208
O4 O 0.4831 0.0300 0.7741
O5 O 0.5169 0.9700 0.2741
O6 O 0.5691 0.4309 0.4208
O7 O 0.9165 0.0835 0.5789
O8 O 0.9700 0.5169 0.7741
```

Main lines, in order of falling intensity (10° ≤ 2θ ≤ 90°):
2theta	I (rel.)
30.78	100.0
44.22	37.2
31.31	36.5
30.42	34.1
22.87	29.0
54.28	23.5